1.
Diffraction record for LiTaF5. The powder diffraction line list is simulated, not measured: it uses a structure optimized by DFT (PBE) and λ = 1.5418 Å (Cu Kα).

Crystal structure
```
LiTaF5
1.0
4.271 -3.489 0.000
4.271 3.489 0.000
-3.984 0.000 6.995
Li Ta F
2 2 10
direct
0.062 0.938 0.750
0.938 0.062 0.250
0.500 0.500 0.000
0.500 0.500 0.500
0.200 0.274 0.862
0.201 0.749 0.545
0.251 0.799 0.955
0.274 0.200 0.362
0.449 0.551 0.250
0.551 0.449 0.750
0.726 0.800 0.638
0.749 0.201 0.045
0.799 0.251 0.455
0.800 0.726 0.138
```

Top 6 peaks for 10° ≤ 2θ ≤ 80°, low angle first:
Position (°2θ)  I/Imax
17.4  100
24.0  29
24.9  20
25.5  91
38.6  16
45.0  20

***

2.
Diffraction record for Si4IrBr. The powder diffraction line list is simulated, not measured: it uses a structure optimized by DFT (PBE) and λ = 1.5418 Å (Cu Kα).

Crystal structure
```
Si4IrBr
1.0
0.000 3.675 3.675
3.675 0.000 3.675
3.675 3.675 0.000
Si Ir Br
4 1 1
direct
0.125 0.125 0.125
0.125 0.125 0.626
0.125 0.626 0.125
0.626 0.125 0.125
0.500 0.500 0.500
0.750 0.750 0.750
```

Top 6 peaks for 10° ≤ 2θ ≤ 80°, low angle first:
Position (°2θ)  I/Imax
20.9  61
34.5  86
40.7  100
61.8  32
66.0  32
72.8  20